Diffraction record for CaSiO3. The powder X-ray diffraction pattern is theoretical, not measured: it uses the PBE geometry in the Materials Project and Cu Kα, 1.54184 Å.
Neutral-atom scattering factors, no anomalous dispersion.

Main lines, sorted by position (2θ from 10° to 90°):
(hkl)	2theta	Rel. int.
2 0 0	24.67	0.8
2 2 0	35.17	100.0
3 1 0	39.48	0.7
2 2 2	43.43	43.7
3 2 1	47.11	0.7
4 0 0	50.59	73.9
4 2 2	63.10	36.8
4 4 0	74.35	38.4
6 0 2	84.99	16.1

```
data_CaSiO3
_chemical_formula_sum 'Ca8 Si8 O24'
_symmetry_space_group_name_H-M 'I m -3'
_symmetry_Int_Tables_number 204
_symmetry_space_group_name_Hall '-I 2 2 3'
_cell_length_a 7.2175
_cell_length_b 7.2175
_cell_length_c 7.2175
_cell_angle_alpha 90.00
_cell_angle_beta 90.00
_cell_angle_gamma 90.00
loop_
_atom_site_label
_atom_site_type_symbol
_atom_site_fract_x
_atom_site_fract_y
_atom_site_fract_z
_atom_site_occupancy
Ca1 Ca 0.0000 0.0000 0.0000 1
Ca2 Ca 0.0000 0.0000 0.5000 1
Si1 Si 0.2500 0.2500 0.2500 1
O1 O 0.0000 0.2406 0.2591 1
```

---

Diffraction record for Na3ErBr6. The powder X-ray diffraction pattern is theoretical, not measured: it uses the PBE geometry in the Materials Project and Cu Kα, 1.54184 Å.
Neutral-atom scattering factors, no anomalous dispersion.

Main lines, sorted by position (2θ from 10° to 90°):
(hkl)	2theta	Rel. int.
0 1 1	14.09	62.6
1 0 0	14.49	50.3
1 1 -1	16.60	57.2
2 1 -2	26.72	42.4
1 0 2	27.40	100.0
2 1 -3	27.99	47.2
1 2 -3	30.91	33.2
2 2 -2	33.56	35.1
0 2 4	40.68	42.8
3 1 -5	41.91	53.0

```
data_Na3ErBr6
_chemical_formula_sum 'Na6 Er2 Br12'
_symmetry_space_group_name_H-M 'P 1 21/c 1'
_symmetry_Int_Tables_number 14
_symmetry_space_group_name_Hall '-P 2ybc'
_cell_length_a 7.4000
_cell_length_b 7.7167
_cell_length_c 13.1183
_cell_angle_alpha 90.00
_cell_angle_beta 124.23
_cell_angle_gamma 90.00
loop_
_atom_site_label
_atom_site_type_symbol
_atom_site_fract_x
_atom_site_fract_y
_atom_site_fract_z
_atom_site_occupancy
Na1 Na 0.0000 0.0000 0.0000 1
Na2 Na 0.2571 0.0592 0.7436 1
Er1 Er 0.5000 0.0000 0.5000 1
Br1 Br 0.1298 0.0624 0.2609 1
Br2 Br 0.2510 0.6790 0.0627 1
Br3 Br 0.4059 0.1967 0.0773 1
```

---

Diffraction record for Sr2Ti6N2O11. The powder X-ray diffraction pattern is theoretical, not measured: it uses the PBE geometry in the Materials Project and Cu Kα, 1.54184 Å.
Neutral-atom scattering factors, no anomalous dispersion.

Main lines, sorted by position (2θ from 10° to 90°):
(hkl)	2theta	Rel. int.
0 0 2	19.27	47.7
3 1 0	29.32	100.0
2 0 -3	29.61	58.8
3 1 -1	29.97	87.2
1 1 2	31.46	54.0
3 1 1	31.84	53.6
4 0 2	33.27	64.0
4 0 -4	42.66	61.6
6 0 2	44.09	44.7
0 2 0	47.18	84.3

```
data_Sr2Ti6N2O11
_chemical_formula_sum 'Sr4 Ti12 N4 O22'
_symmetry_space_group_name_H-M 'C 1 m 1'
_symmetry_Int_Tables_number 8
_symmetry_space_group_name_Hall 'C -2y'
_cell_length_a 15.1248
_cell_length_b 3.8535
_cell_length_c 9.3363
_cell_angle_alpha 90.00
_cell_angle_beta 99.32
_cell_angle_gamma 90.00
loop_
_atom_site_label
_atom_site_type_symbol
_atom_site_fract_x
_atom_site_fract_y
_atom_site_fract_z
_atom_site_occupancy
Sr1 Sr 0.0000 0.0000 0.0000 1
Sr2 Sr 0.0951 0.0000 0.5347 1
Ti1 Ti 0.1647 0.5000 0.8546 1
Ti2 Ti 0.2080 0.5000 0.2109 1
Ti3 Ti 0.2791 0.5000 0.5455 1
Ti4 Ti 0.3105 0.0000 0.0127 1
Ti5 Ti 0.3763 0.0000 0.3497 1
Ti6 Ti 0.4198 0.0000 0.6777 1
N1 N 0.2018 0.5000 0.6791 1
N2 N 0.3097 0.0000 0.5290 1
O1 O 0.0415 0.5000 0.7864 1
O2 O 0.1064 0.5000 0.0831 1
O3 O 0.1705 0.5000 0.3885 1
O4 O 0.1815 0.0000 0.8988 1
O5 O 0.2436 0.0000 0.2046 1
O6 O 0.2828 0.5000 0.0194 1
O7 O 0.3466 0.5000 0.3425 1
O8 O 0.3794 0.0000 0.8706 1
O9 O 0.4082 0.5000 0.6735 1
O10 O 0.4145 0.0000 0.1596 1
O11 O 0.4798 0.0000 0.4861 1
```

---

Diffraction record for NpIO5. The powder X-ray diffraction pattern is theoretical, not measured: it uses the PBE geometry in the Materials Project and Cu Kα, 1.54184 Å.
Neutral-atom scattering factors, no anomalous dispersion.

Main lines, sorted by position (2θ from 10° to 90°):
(hkl)	2theta	Rel. int.
2 0 0	12.65	27.5
0 1 1	21.53	100.0
1 1 1	22.46	48.9
2 1 1	25.05	87.8
4 0 0	25.45	33.0
4 0 1	30.03	42.1
0 0 2	31.67	29.0
2 2 0	32.26	47.1
2 2 2	45.84	54.0
6 2 1	52.09	34.6

```
data_NpIO5
_chemical_formula_sum 'Np4 I4 O20'
_symmetry_space_group_name_H-M 'P n a 21'
_symmetry_Int_Tables_number 33
_symmetry_space_group_name_Hall 'P 2c -2n'
_cell_length_a 14.0000
_cell_length_b 6.0444
_cell_length_c 5.6501
_cell_angle_alpha 90.00
_cell_angle_beta 90.00
_cell_angle_gamma 90.00
loop_
_atom_site_label
_atom_site_type_symbol
_atom_site_fract_x
_atom_site_fract_y
_atom_site_fract_z
_atom_site_occupancy
Np1 Np 0.0289 0.2478 0.0000 1
I1 I 0.2172 0.5087 0.4961 1
O1 O 0.0107 0.0035 0.1970 1
O2 O 0.0449 0.4902 0.7868 1
O3 O 0.1398 0.7422 0.4230 1
O4 O 0.1741 0.3107 0.2744 1
O5 O 0.1760 0.1046 0.8383 1
```